[1]
Diffraction record for MgSnP2O7. The X-ray diffraction stick pattern is calculated, not measured: it uses a cell relaxed with GGA-PBE and a wavelength of 1.5418 Å.
Peak positions follow from Bragg's law for the DFT cell and can differ from measured ones.

Crystal structure
Cell lengths 7.1946, 9.2409, 9.3374 Å; angles 90.00, 109.84, 90.00 degrees
Sites, in units of the cell vectors:
Mg: 0.2000 0.0560 0.3058
Mg: 0.2000 0.4440 0.8058
Mg: 0.8000 0.5560 0.1942
Mg: 0.8000 0.9440 0.6942
Sn: 0.2711 0.0871 0.9228
Sn: 0.2711 0.4129 0.4228
Sn: 0.7289 0.5871 0.5772
Sn: 0.7289 0.9129 0.0772
P: 0.0145 0.7112 0.9549
P: 0.0145 0.7888 0.4549
P: 0.4051 0.7489 0.7240
P: 0.4051 0.7511 0.2240
P: 0.5949 0.2489 0.7760
P: 0.5949 0.2511 0.2760
P: 0.9855 0.2112 0.5451
P: 0.9855 0.2888 0.0451
O: 0.0013 0.5970 0.8321
O: 0.0013 0.9030 0.3321
O: 0.0155 0.1342 0.1072
O: 0.0155 0.3658 0.6072
O: 0.1322 0.1847 0.4590
O: 0.1322 0.3153 0.9590
O: 0.2333 0.6894 0.0731
O: 0.2333 0.8106 0.5731
O: 0.3609 0.5906 0.7436
O: 0.3609 0.9094 0.2436
O: 0.4041 0.2326 0.3183
O: 0.4041 0.2674 0.8183
O: 0.4121 0.6515 0.3544
O: 0.4121 0.8485 0.8544
O: 0.5879 0.1515 0.1456
O: 0.5879 0.3485 0.6456
O: 0.5959 0.7326 0.1817
O: 0.5959 0.7674 0.6817
O: 0.6391 0.0906 0.7564
O: 0.6391 0.4094 0.2564
O: 0.7667 0.1894 0.4269
O: 0.7667 0.3106 0.9269
O: 0.8678 0.6847 0.0410
O: 0.8678 0.8153 0.5410
O: 0.9845 0.6342 0.3928
O: 0.9845 0.8658 0.8928
O: 0.9987 0.0970 0.6679
O: 0.9987 0.4030 0.1679

The 8 most intense peaks (2θ = 10–80°), in order of falling intensity:
hkl 0 1 1, 2θ 13.91, d 6.366, I = 100; hkl 2 1 -2, 2θ 28.96, d 3.083, I = 71; hkl 1 2 -2, 2θ 27.89, d 3.199, I = 71; hkl 1 0 2, 2θ 27.72, d 3.219, I = 71; hkl 1 3 0, 2θ 31.92, d 2.804, I = 56; hkl 2 2 0, 2θ 32.85, d 2.727, I = 53; hkl 1 1 -3, 2θ 30.44, d 2.937, I = 43; hkl 1 2 -1, 2θ 23.58, d 3.774, I = 43

---

[2]
Diffraction record for MgSn2P2O8. The X-ray diffraction stick pattern is calculated, not measured: it uses a cell relaxed with GGA-PBE and a wavelength of 1.5418 Å.
Peak positions follow from Bragg's law for the DFT cell and can differ from measured ones.

Crystal structure
Cell lengths 5.3215, 9.6248, 16.3443 Å; angles 87.48, 80.64, 74.01 degrees
Sites, in units of the cell vectors:
Mg: 0.0000 0.0000 0.0000
Mg: 0.1547 0.2928 0.3108
Mg: 0.4552 0.4989 0.5012
Mg: 0.6978 0.7923 0.8110
Sn: 0.0748 0.6505 0.1576
Sn: 0.2738 0.8436 0.6438
Sn: 0.4259 0.8957 0.4060
Sn: 0.4614 0.9459 0.1678
Sn: 0.5755 0.1420 0.6555
Sn: 0.6928 0.3474 0.1444
Sn: 0.7277 0.3968 0.9073
Sn: 0.8798 0.4433 0.6679
P: 0.1681 0.2335 0.5180
P: 0.3192 0.5838 0.7780
P: 0.3820 0.2059 0.0340
P: 0.5322 0.7331 0.0181
P: 0.6204 0.5591 0.2943
P: 0.7750 0.0841 0.2780
P: 0.8348 0.7069 0.5338
P: 0.9852 0.0592 0.7934
O: 0.0211 0.1368 0.2772
O: 0.0209 0.6367 0.7781
O: 0.0447 0.0140 0.8802
O: 0.1141 0.2772 0.4306
O: 0.1327 0.6552 0.5342
O: 0.1342 0.1545 0.0351
O: 0.2424 0.8292 0.0486
O: 0.2567 0.0233 0.7297
O: 0.3202 0.0734 0.5294
O: 0.3272 0.3234 0.1028
O: 0.3276 0.3303 0.5501
O: 0.3837 0.5277 0.8637
O: 0.4442 0.5249 0.2315
O: 0.4450 0.7156 0.7550
O: 0.4466 0.4667 0.7088
O: 0.4757 0.2608 0.9479
O: 0.5229 0.5142 0.3815
O: 0.5301 0.5729 0.0301
O: 0.5405 0.2156 0.2553
O: 0.6156 0.0736 0.0566
O: 0.6183 0.7201 0.2833
O: 0.6336 0.7757 0.9308
O: 0.6837 0.0275 0.3638
O: 0.7048 0.8245 0.6031
O: 0.7076 0.7671 0.0813
O: 0.7089 0.5754 0.5566
O: 0.7720 0.7634 0.4481
O: 0.8176 0.9649 0.7630
O: 0.8317 0.9664 0.2089
O: 0.8406 0.2202 0.7825
O: 0.8942 0.2663 0.5802
O: 0.9110 0.4649 0.2627

The 8 most intense peaks (2θ = 10–80°), in order of falling intensity:
hkl 1 -1 4, 2θ 29.47, d 3.031, I = 100; hkl 1 2 5, 2θ 33.48, d 2.677, I = 62; hkl 0 0 2, 2θ 10.98, d 8.057, I = 61; hkl 1 2 3, 2θ 26.07, d 3.417, I = 51; hkl 1 2 1, 2θ 22.21, d 4.002, I = 46; hkl 0 2 -4, 2θ 29.36, d 3.043, I = 39; hkl 1 0 0, 2θ 17.56, d 5.051, I = 37; hkl 0 3 5, 2θ 40.48, d 2.228, I = 19